Calculated X-ray diffraction stick pattern of SrTlCd3 for Cu Ka, from DFT lattice parameters and positions (GGA-PBE).
Lines closer than 0.1° are merged.

Structural model:
```
20
Lattice="13.211 0.000 0.000 0.000 6.589 0.000 0.000 0.000 6.593" Properties=species:S:1:pos:R:3 pbc="T T T"
Sr 3.303 0.000 0.070
Sr 3.303 3.295 3.227
Sr 9.908 0.000 6.523
Sr 9.908 3.295 3.366
Tl 0.110 1.647 1.648
Tl 6.495 4.942 1.648
Tl 6.715 1.647 4.945
Tl 13.101 4.942 4.945
Cd 0.077 4.942 1.648
Cd 1.897 3.313 6.486
Cd 1.897 6.571 3.404
Cd 4.708 0.019 3.404
Cd 4.708 3.276 6.486
Cd 6.528 1.647 1.648
Cd 6.682 4.942 4.945
Cd 8.502 3.313 0.107
Cd 8.502 6.571 3.189
Cd 11.314 0.019 3.189
Cd 11.314 3.276 0.107
Cd 13.133 1.647 4.945
```

Top 10 peaks for 2θ from 10° to 90°, low angle first:
hkl 2 0 0, 2θ = 13.4°, I 23
hkl 0 1 1, 2θ = 19.0°, I 15
hkl 2 2 0, 2θ = 30.3°, I 100
hkl 4 1 1, 2θ = 33.2°, I 33
hkl 0 2 2, 2θ = 38.6°, I 95
hkl 6 0 0, 2θ = 41.0°, I 14
hkl 4 3 1, 2θ = 51.9°, I 17
hkl 0 4 0, 2θ = 55.8°, I 16
hkl 2 4 2, 2θ = 64.8°, I 22
hkl 8 2 2, 2θ = 69.9°, I 26

Calculated X-ray diffraction stick pattern of Sr3Tl5Cd for Cu Ka, from DFT lattice parameters and positions (GGA-PBE).
Lines closer than 0.1° are merged.

Structural model:
```
18
Lattice="9.704 0.000 0.000 0.000 9.704 0.000 0.000 0.000 6.758" Properties=species:S:1:pos:R:3 pbc="T T T"
Sr 0.000 0.000 0.000
Sr 1.239 3.613 3.379
Sr 3.613 8.465 3.379
Sr 4.852 4.852 0.000
Sr 6.090 1.239 3.379
Sr 8.465 6.090 3.379
Tl 0.000 0.000 3.379
Tl 1.782 6.634 1.561
Tl 1.782 6.634 5.197
Tl 3.069 1.782 1.561
Tl 3.069 1.782 5.197
Tl 4.852 4.852 3.379
Tl 6.634 7.921 1.561
Tl 6.634 7.921 5.197
Tl 7.921 3.069 1.561
Tl 7.921 3.069 5.197
Cd 0.000 4.852 0.000
Cd 4.852 0.000 0.000
```

Top 10 peaks for 2θ from 10° to 90°, low angle first:
hkl 2 1 0, 2θ = 20.5°, I 61
hkl 2 2 0, 2θ = 26.0°, I 60
hkl 3 1 0, 2θ = 29.1°, I 51
hkl 3 1 1, 2θ = 32.0°, I 19
hkl 2 0 2, 2θ = 32.3°, I 100
hkl 2 1 2, 2θ = 33.6°, I 91
hkl 4 1 0, 2θ = 38.2°, I 39
hkl 4 1 2, 2θ = 47.1°, I 43
hkl 3 3 2, 2θ = 48.0°, I 24
hkl 6 2 2, 2θ = 67.0°, I 20

Q: What is the formula in the second record?
A: Sr3Tl5Cd